Entry 1:
# CaLu3
Theoretical powder XRD pattern, λ = 1.5418 Å (Cu Kα). Input: a structure optimized by DFT (PBE).
Peak positions follow from Bragg's law for the DFT cell and can differ from measured ones.

Main lines, low angle first (2θ from 10° to 90°):
Position (°2θ), d (Å), I (rel.), hkl
29.00, 3.079, 26, 1 0 1
31.29, 2.859, 36, 0 4 0
32.92, 2.721, 48, 0 2 2
33.05, 2.711, 100, 1 2 1
43.15, 2.097, 26, 0 4 2
56.79, 1.621, 29, 1 6 1

Structure:
Lattice parameters (Å, degrees): 3.549 11.436 6.187 90.00 90.00 90.00
Space group Imm2 (No. 44)
One atom of each set of equivalent atoms:
Ca1 0.000 0.000 0.000
Lu1 0.000 0.239 0.660
Lu2 0.000 0.500 0.996

=====

Entry 2:
# Pr5Cd4Sn
Theoretical powder XRD pattern, λ = 1.5418 Å (Cu Kα). Input: a structure optimized by DFT (PBE).
Peak positions follow from Bragg's law for the DFT cell and can differ from measured ones.

Main lines, low angle first (2θ from 10° to 90°):
Position (°2θ), d (Å), I (rel.), hkl
32.39, 2.764, 100, 1 0 5
32.96, 2.717, 48, 1 1 0
47.31, 1.921, 17, 2 0 0
57.40, 1.605, 19, 1 1 10
58.50, 1.578, 36, 2 1 5
67.80, 1.382, 11, 2 0 10

Structure:
Lattice parameters (Å, degrees): 3.843 3.843 19.899 90.00 90.00 90.00
Space group P4/mmm (No. 123)
One atom of each set of equivalent atoms:
Pr1 0.000 0.000 0.000
Pr2 0.000 0.000 0.199
Pr3 0.000 0.000 0.398
Cd1 0.500 0.500 0.100
Cd2 0.500 0.500 0.295
Sn1 0.500 0.500 0.500